Structure and simulated X-ray diffraction stick pattern of DyCuTe2PbSe (a PBE-relaxed structure; Cu Kα (weighted mean of Kα1 and Kα2)).
Peak positions follow from Bragg's law for the DFT cell and can differ from measured ones.

The 10 most intense peaks (2θ from 5° to 70°), in order of rising 2θ:
2θ (°)	Rel. int.	hkl
20.7	35	0 2 2
28.0	100	1 3 0
29.3	92	1 3 1
32.8	61	1 3 2
33.6	63	1 1 3
33.7	35	0 0 4
41.0	40	0 6 2
41.4	35	1 5 2
42.8	40	2 0 0
60.7	28	2 6 2

Structural model:
Unit cell a=4.225 b=14.521 c=10.645 alpha=90.00 beta=90.00 gamma=90.00
Space group Cmcm (No. 63)
Asymmetric unit:
Dy  0.000  0.000  0.000 (multiplicity 4)
Cu  0.000  0.474  0.250 (multiplicity 4)
Te  0.000  0.353  0.063 (multiplicity 8)
Pb  0.000  0.260  0.750 (multiplicity 4)
Se  0.000  0.072  0.250 (multiplicity 4)